Structure and computed powder diffractogram of Ta2CrNO5 (the PBE+U geometry in Alexandria; copper Kα).
No peak broadening, texture or thermal motion is included.

Top 10 peaks for 2θ from 5° to 70°, sorted by position:
2theta	intensity
19.27	14.8
20.97	33.1
26.35	64.7
26.49	63.4
34.74	100.0
37.71	31.8
52.12	39.7
52.28	41.2
66.16	23.3
66.95	17.6

Structure:
```
Ta2CrNO5
1.0
9.2137 0.0000 0.0000
0.0000 3.3653 3.3827
0.0000 -3.3653 3.3827
Ta Cr N O
4 2 2 10
Cartesian
1.5537 0.0000 0.0000 Ta
3.0083 0.0000 3.5115 Ta
6.2054 0.0000 3.5115 Ta
7.6599 0.0000 0.0000 Ta
0.0000 0.0000 3.4894 Cr
4.6068 0.0000 0.1362 Cr
1.5540 0.0000 4.8336 N
7.6597 0.0000 4.8336 N
0.0000 -2.0717 3.5273 O
0.0000 2.0717 3.5273 O
1.5896 0.0000 2.1636 O
3.0636 -2.0464 3.5174 O
3.0636 2.0464 3.5174 O
4.6068 0.0000 2.1736 O
4.6068 0.0000 4.8050 O
6.1500 -2.0464 3.5174 O
6.1500 2.0464 3.5174 O
7.6240 0.0000 2.1636 O
```